Record 1
Diffraction record for LiHPd2. The powder diffraction line list is calculated, not measured: it uses a crystal structure in Alexandria, relaxed with GGA-PBE and Cu Kα (λ = 1.5418 Å).

Structure:
```
data_LiHPd2
_chemical_formula_sum 'Li2 H2 Pd4'
_symmetry_space_group_name_H-M 'P m m n'
_symmetry_Int_Tables_number 59
_cell_length_a 3.961
_cell_length_b 8.467
_cell_length_c 2.759
_cell_angle_alpha 90.00
_cell_angle_beta 90.00
_cell_angle_gamma 90.00
loop_
_symmetry_equiv_pos_as_xyz
'x,y,z'
'-x,-y,-z'
'-x+1/2,-y+1/2,z'
'x+1/2,y+1/2,-z'
'x+1/2,-y,-z'
'-x+1/2,y,z'
'-x,y+1/2,-z'
'x,-y+1/2,z'
loop_
_atom_site_label
_atom_site_fract_x
_atom_site_fract_y
_atom_site_fract_z
Li1 0.250 0.250 0.250
H1 0.250 0.750 0.748
Pd1 0.250 0.587 0.250
```

The 10 most intense peaks (2θ = 10–80°), sorted by position:
two_theta, intensity, index
21.0, 46, 0 2 0
24.8, 83, 1 1 0
34.2, 34, 0 1 1
39.2, 100, 1 3 0
39.8, 96, 1 0 1
45.4, 25, 1 2 1
45.8, 33, 2 0 0
46.0, 64, 0 3 1
59.8, 17, 1 4 1
66.9, 41, 2 3 1

Record 2
Diffraction record for Li2HPd2. The powder diffraction line list is calculated, not measured: it uses a crystal structure in Alexandria, relaxed with GGA-PBE and Cu Kα (λ = 1.5418 Å).

Structure:
```
data_Li2HPd2
_chemical_formula_sum 'Li2 H1 Pd2'
_symmetry_space_group_name_H-M 'P 4/m m m'
_symmetry_Int_Tables_number 123
_symmetry_space_group_name_Hall '-P 4 2'
_cell_length_a 3.965
_cell_length_b 3.965
_cell_length_c 3.714
_cell_angle_alpha 90.00
_cell_angle_beta 90.00
_cell_angle_gamma 90.00
loop_
_atom_site_label
_atom_site_fract_x
_atom_site_fract_y
_atom_site_fract_z
Li1 0.000 0.000 0.000
Li2 0.500 0.500 0.000
H1 0.000 0.000 0.500
Pd1 0.000 0.500 0.500
```

The 10 most intense peaks (2θ = 10–80°), sorted by position:
two_theta, intensity, index
24.0, 85, 0 0 1
31.9, 79, 1 1 0
40.3, 100, 1 1 1
45.8, 35, 2 0 0
49.1, 14, 0 0 2
52.3, 39, 2 0 1
59.7, 26, 1 1 2
69.3, 20, 2 0 2
72.0, 15, 2 2 1
75.9, 12, 3 1 0

Record 3
Diffraction record for LiH6Pd3. The powder diffraction line list is calculated, not measured: it uses a crystal structure in Alexandria, relaxed with GGA-PBE and Cu Kα (λ = 1.5418 Å).

Structure:
```
data_LiH6Pd3
_chemical_formula_sum 'Li1 H6 Pd3'
_symmetry_space_group_name_H-M 'P 1'
_symmetry_Int_Tables_number 1
_cell_length_a 4.830
_cell_length_b 4.832
_cell_length_c 4.869
_cell_angle_alpha 60.38
_cell_angle_beta 60.66
_cell_angle_gamma 89.98
loop_
_symmetry_equiv_pos_as_xyz
'x,y,z'
loop_
_atom_site_label
_atom_site_fract_x
_atom_site_fract_y
_atom_site_fract_z
Li1 0.000 0.000 0.000
H1 0.107 0.106 0.440
H2 0.446 0.444 0.452
H3 0.500 0.859 0.641
H4 0.536 0.070 0.011
H5 0.916 0.460 0.009
H6 0.932 0.580 0.486
Pd1 0.243 0.741 0.510
Pd2 0.506 0.476 0.017
Pd3 0.746 0.244 0.512
```

The 10 most intense peaks (2θ = 10–80°), sorted by position:
two_theta, intensity, index
22.3, 37, 0 1 0
22.4, 37, 1 0 1
26.1, 26, 1 -1 0
36.7, 100, 1 1 0
36.9, 98, 1 1 2
37.2, 96, 2 0 1
52.3, 18, 0 0 2
53.7, 33, 2 2 2
66.6, 25, 3 1 1
67.0, 17, 1 3 3

Record 4
Diffraction record for LiHPd4. The powder diffraction line list is calculated, not measured: it uses a crystal structure in Alexandria, relaxed with GGA-PBE and Cu Kα (λ = 1.5418 Å).

Structure:
```
data_LiHPd4
_chemical_formula_sum 'Li4 H4 Pd16'
_symmetry_space_group_name_H-M 'I 41 m d'
_symmetry_Int_Tables_number 109
_symmetry_space_group_name_Hall 'I 4bw -2'
_cell_length_a 7.578
_cell_length_b 7.578
_cell_length_c 5.558
_cell_angle_alpha 90.00
_cell_angle_beta 90.00
_cell_angle_gamma 90.00
loop_
_atom_site_label
_atom_site_fract_x
_atom_site_fract_y
_atom_site_fract_z
Li1 0.000 0.000 0.000
H1 0.000 0.000 0.329
Pd1 0.000 0.220 0.409
Pd2 0.000 0.292 0.915
```

The 10 most intense peaks (2θ = 10–80°), sorted by position:
two_theta, intensity, index
33.4, 72, 2 2 0
39.2, 13, 3 0 1
40.2, 100, 2 0 2
46.2, 15, 3 2 1
48.0, 22, 4 0 0
63.6, 11, 5 0 1
64.4, 30, 4 2 2
67.4, 11, 0 0 4
68.8, 9, 5 2 1
77.4, 13, 2 2 4

Record 5
Diffraction record for Li3H4Pd7. The powder diffraction line list is calculated, not measured: it uses a crystal structure in Alexandria, relaxed with GGA-PBE and Cu Kα (λ = 1.5418 Å).

Structure:
```
data_Li3H4Pd7
_chemical_formula_sum 'Li6 H8 Pd14'
_symmetry_space_group_name_H-M 'C 1 2/m 1'
_symmetry_Int_Tables_number 12
_cell_length_a 12.998
_cell_length_b 4.138
_cell_length_c 6.773
_cell_angle_alpha 90.00
_cell_angle_beta 119.18
_cell_angle_gamma 90.00
loop_
_symmetry_equiv_pos_as_xyz
'x,y,z'
'-x,-y,-z'
'-x,y,-z'
'x,-y,z'
'x+1/2,y+1/2,z'
'-x+1/2,-y+1/2,-z'
'-x+1/2,y+1/2,-z'
'x+1/2,-y+1/2,z'
loop_
_atom_site_label
_atom_site_fract_x
_atom_site_fract_y
_atom_site_fract_z
Li1 0.000 0.000 0.000
Li2 0.145 0.500 0.660
H1 0.122 0.000 0.785
H2 0.169 0.500 0.342
Pd1 0.000 0.000 0.500
Pd2 0.010 0.500 0.216
Pd3 0.177 0.000 0.385
Pd4 0.227 0.500 0.124
```

The 10 most intense peaks (2θ = 10–80°), sorted by position:
two_theta, intensity, index
25.2, 51, 1 1 -1
26.5, 24, 2 0 1
31.5, 36, 4 0 0
35.4, 68, 3 1 -2
41.1, 45, 4 0 -3
41.2, 78, 5 1 -1
41.3, 100, 1 1 2
43.8, 47, 0 2 0
61.6, 27, 4 2 -3
78.7, 26, 1 3 2

Record 6
Diffraction record for LiH5Pd8. The powder diffraction line list is calculated, not measured: it uses a crystal structure in Alexandria, relaxed with GGA-PBE and Cu Kα (λ = 1.5418 Å).

Structure:
```
data_LiH5Pd8
_chemical_formula_sum 'Li1 H5 Pd8'
_symmetry_space_group_name_H-M 'P 1'
_symmetry_Int_Tables_number 1
_cell_length_a 2.898
_cell_length_b 7.029
_cell_length_c 7.683
_cell_angle_alpha 91.03
_cell_angle_beta 100.83
_cell_angle_gamma 90.29
loop_
_symmetry_equiv_pos_as_xyz
'x,y,z'
loop_
_atom_site_label
_atom_site_fract_x
_atom_site_fract_y
_atom_site_fract_z
Li1 0.000 0.000 0.000
H1 0.119 0.392 0.238
H2 0.195 0.865 0.397
H3 0.547 0.591 0.094
H4 0.809 0.156 0.609
H5 0.880 0.587 0.758
Pd1 0.110 0.680 0.217
Pd2 0.232 0.339 0.461
Pd3 0.337 0.003 0.673
Pd4 0.442 0.681 0.879
Pd5 0.553 0.324 0.107
Pd6 0.666 0.014 0.331
Pd7 0.773 0.680 0.543
Pd8 0.896 0.329 0.790
```

The 10 most intense peaks (2θ = 10–80°), sorted by position:
two_theta, intensity, index
37.8, 49, 0 1 -3
38.2, 100, 1 1 1
38.4, 48, 0 3 0
44.0, 33, 1 -2 1
44.2, 32, 1 2 -2
44.7, 31, 0 2 3
64.2, 20, 1 0 4
64.3, 12, 2 0 -1
77.3, 12, -2 3 1
77.7, 11, 2 3 -1

Record 7
Diffraction record for Li2H5Pd4. The powder diffraction line list is calculated, not measured: it uses a crystal structure in Alexandria, relaxed with GGA-PBE and Cu Kα (λ = 1.5418 Å).

Structure:
```
data_Li2H5Pd4
_chemical_formula_sum 'Li6 H15 Pd12'
_symmetry_space_group_name_H-M 'R -3 m'
_symmetry_Int_Tables_number 166
_symmetry_space_group_name_Hall '-R 3 2"'
_cell_length_a 2.9258
_cell_length_b 2.9258
_cell_length_c 42.4948
_cell_angle_alpha 90.00
_cell_angle_beta 90.00
_cell_angle_gamma 120.00
loop_
_atom_site_label
_atom_site_fract_x
_atom_site_fract_y
_atom_site_fract_z
Li1 0.0000 0.0000 0.1391
H1 0.0000 0.0000 0.2277
H2 0.0000 0.0000 0.3761
H3 0.0000 0.0000 0.5000
Pd1 0.0000 0.0000 0.3058
Pd2 0.0000 0.0000 0.4218
```

The 10 most intense peaks (2θ = 10–80°), sorted by position:
two_theta, intensity, index
12.5, 41, 0 0 6
31.6, 38, 0 0 15
35.5, 71, 1 0 1
38.1, 46, 0 0 18
38.5, 100, 1 0 7
39.4, 91, 0 1 8
41.5, 38, 1 0 10
42.7, 52, 0 1 11
63.6, 36, 1 1 0
76.6, 35, 1 1 18

Record 8
Diffraction record for Li3H9Pd4. The powder diffraction line list is calculated, not measured: it uses a crystal structure in Alexandria, relaxed with GGA-PBE and Cu Kα (λ = 1.5418 Å).

Structure:
```
data_Li3H9Pd4
_chemical_formula_sum 'Li9 H27 Pd12'
_symmetry_space_group_name_H-M 'R 3'
_symmetry_Int_Tables_number 146
_symmetry_space_group_name_Hall 'R 3'
_cell_length_a 4.8535
_cell_length_b 4.8535
_cell_length_c 20.9080
_cell_angle_alpha 90.00
_cell_angle_beta 90.00
_cell_angle_gamma 120.00
loop_
_atom_site_label
_atom_site_fract_x
_atom_site_fract_y
_atom_site_fract_z
Li1 0.0000 0.0000 0.0000
Li2 0.0000 0.0000 0.1542
Li3 0.0000 0.0000 0.5774
H1 0.0000 0.4597 0.5771
H2 0.0030 0.5329 0.0128
H3 0.1356 0.7987 0.4745
Pd1 0.0000 0.0000 0.2926
Pd2 0.0000 0.0000 0.4268
Pd3 0.0000 0.0000 0.7274
Pd4 0.0000 0.0000 0.8615
```

The 10 most intense peaks (2θ = 10–80°), sorted by position:
two_theta, intensity, index
22.8, 100, 0 1 2
30.1, 24, 0 1 5
36.9, 80, 1 0 7
37.0, 83, 1 1 0
38.8, 12, 0 0 9
43.9, 16, 2 0 2
53.3, 29, 0 2 7
54.7, 28, 1 1 9
58.8, 14, 1 2 2
66.7, 42, 3 0 0

Record 9
Diffraction record for LiH4Pd4. The powder diffraction line list is calculated, not measured: it uses a crystal structure in Alexandria, relaxed with GGA-PBE and Cu Kα (λ = 1.5418 Å).

Structure:
```
data_LiH4Pd4
_chemical_formula_sum 'Li1 H4 Pd4'
_symmetry_space_group_name_H-M 'P -1'
_symmetry_Int_Tables_number 2
_cell_length_a 3.912
_cell_length_b 5.076
_cell_length_c 5.084
_cell_angle_alpha 81.49
_cell_angle_beta 67.40
_cell_angle_gamma 67.49
loop_
_symmetry_equiv_pos_as_xyz
'x,y,z'
'-x,-y,-z'
loop_
_atom_site_label
_atom_site_fract_x
_atom_site_fract_y
_atom_site_fract_z
Li1 0.000 0.000 0.000
H1 0.145 0.542 0.168
H2 0.314 0.831 0.541
Pd1 0.200 0.197 0.402
Pd2 0.397 0.402 0.803
```

The 10 most intense peaks (2θ = 10–80°), sorted by position:
two_theta, intensity, index
18.9, 21, 0 1 0
26.4, 18, 1 1 0
38.0, 100, 1 0 2
38.1, 33, 1 2 1
43.1, 48, 0 1 2
46.4, 18, 2 1 1
62.6, 15, 0 3 1
65.1, 14, 2 0 -1
65.3, 14, 2 3 0
75.6, 17, 1 1 4

Record 10
Diffraction record for Li3H4Pd2. The powder diffraction line list is calculated, not measured: it uses a crystal structure in Alexandria, relaxed with GGA-PBE and Cu Kα (λ = 1.5418 Å).

Structure:
```
data_Li3H4Pd2
_chemical_formula_sum 'Li6 H8 Pd4'
_symmetry_space_group_name_H-M 'P n n m'
_symmetry_Int_Tables_number 58
_cell_length_a 6.321
_cell_length_b 10.484
_cell_length_c 2.922
_cell_angle_alpha 90.00
_cell_angle_beta 90.00
_cell_angle_gamma 90.00
loop_
_symmetry_equiv_pos_as_xyz
'x,y,z'
'-x,-y,-z'
'-x,-y,z'
'x,y,-z'
'x+1/2,-y+1/2,-z+1/2'
'-x+1/2,y+1/2,z+1/2'
'-x+1/2,y+1/2,-z+1/2'
'x+1/2,-y+1/2,z+1/2'
loop_
_atom_site_label
_atom_site_fract_x
_atom_site_fract_y
_atom_site_fract_z
Li1 0.000 0.000 0.000
Li2 0.106 0.292 0.500
H1 0.116 0.407 0.000
H2 0.211 0.154 0.000
Pd1 0.181 0.575 0.000
```

The 10 most intense peaks (2θ = 10–80°), sorted by position:
two_theta, intensity, index
16.4, 53, 1 1 0
16.9, 58, 0 2 0
22.0, 100, 1 2 0
31.8, 55, 0 1 1
37.1, 37, 1 4 0
38.4, 27, 2 3 0
42.8, 49, 1 3 1
43.0, 23, 2 1 1
43.8, 24, 3 1 0
45.7, 22, 2 2 1

Record 11
Diffraction record for Li4HPd. The powder diffraction line list is calculated, not measured: it uses a crystal structure in Alexandria, relaxed with GGA-PBE and Cu Kα (λ = 1.5418 Å).

Structure:
```
data_Li4HPd
_chemical_formula_sum 'Li4 H1 Pd1'
_symmetry_space_group_name_H-M 'P 1 2 1'
_symmetry_Int_Tables_number 3
_cell_length_a 4.274
_cell_length_b 4.380
_cell_length_c 5.333
_cell_angle_alpha 90.00
_cell_angle_beta 108.38
_cell_angle_gamma 90.00
loop_
_symmetry_equiv_pos_as_xyz
'x,y,z'
'-x,y,-z'
loop_
_atom_site_label
_atom_site_fract_x
_atom_site_fract_y
_atom_site_fract_z
Li1 0.129 0.000 0.293
Li2 0.332 0.544 0.734
H1 0.000 0.725 0.500
Pd1 0.500 0.057 0.000
```

The 10 most intense peaks (2θ = 10–80°), sorted by position:
two_theta, intensity, index
17.5, 100, 0 0 1
20.3, 78, 0 1 0
21.9, 61, 1 0 0
23.4, 62, 1 0 -1
26.9, 78, 0 1 1
30.0, 48, 1 1 0
31.1, 41, 1 1 -1
35.4, 33, 1 0 -2
38.5, 40, 1 1 1
41.2, 75, 0 2 0

Record 12
Diffraction record for LiPmH6Pd. The powder diffraction line list is calculated, not measured: it uses a crystal structure in Alexandria, relaxed with GGA-PBE and Cu Kα (λ = 1.5418 Å).

Structure:
```
data_LiPmH6Pd
_chemical_formula_sum 'Li1 Pm1 H6 Pd1'
_symmetry_space_group_name_H-M 'P -6 m 2'
_symmetry_Int_Tables_number 187
_symmetry_space_group_name_Hall 'P -6 2'
_cell_length_a 4.5023
_cell_length_b 4.5023
_cell_length_c 4.4736
_cell_angle_alpha 90.00
_cell_angle_beta 90.00
_cell_angle_gamma 120.00
loop_
_atom_site_label
_atom_site_fract_x
_atom_site_fract_y
_atom_site_fract_z
Li1 0.0000 0.0000 0.0000
Pm1 0.6667 0.3333 0.5000
H1 0.1719 0.3438 0.2726
Pd1 0.3333 0.6667 0.0000
```

The 10 most intense peaks (2θ = 10–80°), sorted by position:
two_theta, intensity, index
22.8, 32, 1 0 0
30.4, 100, 1 0 1
40.1, 32, 1 1 0
40.3, 10, 0 0 2
46.8, 10, 1 0 2
51.1, 23, 2 0 1
58.1, 22, 1 1 2
66.8, 21, 2 1 1
67.2, 10, 1 0 3
72.8, 5, 3 0 0

Record 13
Diffraction record for LiH5Pd2Pt. The powder diffraction line list is calculated, not measured: it uses a crystal structure in Alexandria, relaxed with GGA-PBE and Cu Kα (λ = 1.5418 Å).

Structure:
```
data_LiH5Pd2Pt
_chemical_formula_sum 'Li2 H10 Pd4 Pt2'
_symmetry_space_group_name_H-M 'I m m m'
_symmetry_Int_Tables_number 71
_symmetry_space_group_name_Hall '-I 2 2'
_cell_length_a 3.586
_cell_length_b 4.618
_cell_length_c 9.827
_cell_angle_alpha 90.00
_cell_angle_beta 90.00
_cell_angle_gamma 90.00
loop_
_atom_site_label
_atom_site_fract_x
_atom_site_fract_y
_atom_site_fract_z
Li1 0.000 0.000 0.000
H1 0.000 0.255 0.365
H2 0.000 0.500 0.000
Pd1 0.000 0.500 0.231
Pt1 0.000 0.000 0.500
```

The 10 most intense peaks (2θ = 10–80°), sorted by position:
two_theta, intensity, index
21.3, 45, 0 1 1
26.5, 15, 1 0 1
36.6, 100, 1 1 2
37.2, 16, 1 0 3
39.0, 17, 0 2 0
50.5, 10, 0 1 5
54.5, 12, 0 2 4
55.0, 11, 1 2 3
65.9, 19, 2 2 0
69.1, 13, 1 3 2